1.
This entry pairs a crystal structure of V5Re4Ru with its simulated powder X-ray diffraction pattern. Radiation: Cu Kα, 1.54184 Å. Structure: a cell relaxed with GGA-PBE.

Main lines, low angle first (10 to 90 degrees two-theta):
11.67 deg, I = 2; 17.54 deg, I = 1; 29.44 deg, I = 38; 30.03 deg, I = 1; 31.76 deg, I = 1; 42.11 deg, I = 100; 52.21 deg, I = 11; 61.08 deg, I = 16; 69.23 deg, I = 15; 76.97 deg, I = 33

Structure:
a b c (Å): 3.035 3.035 15.168
angles (deg): 90.00 90.00 90.00
Fractional coordinates of all 10 atoms:
V  0.000  0.000  0.000
V  0.000  0.000  0.200
V  0.000  0.000  0.399
V  0.000  0.000  0.601
V  0.000  0.000  0.800
Re  0.500  0.500  0.100
Re  0.500  0.500  0.301
Re  0.500  0.500  0.699
Re  0.500  0.500  0.900
Ru  0.500  0.500  0.500

2.
This entry pairs a crystal structure of Pr6CoAu2 with its simulated powder X-ray diffraction pattern. Radiation: Cu Kα, 1.54184 Å. Structure: a cell relaxed with GGA-PBE.

Main lines, low angle first (10 to 90 degrees two-theta):
28.14 deg, I = 57; 29.02 deg, I = 90; 29.19 deg, I = 67; 29.34 deg, I = 93; 29.87 deg, I = 75; 31.64 deg, I = 100; 34.25 deg, I = 44; 35.15 deg, I = 87; 51.06 deg, I = 45; 53.79 deg, I = 39

Structure:
a b c (Å): 7.012 7.482 12.297
angles (deg): 90.00 121.60 90.00
Fractional coordinates of all 18 atoms:
Pr  0.120  0.025  0.253
Pr  0.120  0.475  0.753
Pr  0.243  0.689  0.065
Pr  0.243  0.811  0.565
Pr  0.369  0.190  0.058
Pr  0.369  0.310  0.558
Pr  0.631  0.690  0.442
Pr  0.631  0.810  0.942
Pr  0.757  0.189  0.435
Pr  0.757  0.311  0.935
Pr  0.880  0.525  0.247
Pr  0.880  0.975  0.747
Co  0.000  0.000  0.000
Co  0.000  0.500  0.500
Au  0.313  0.101  0.764
Au  0.313  0.399  0.264
Au  0.687  0.601  0.736
Au  0.687  0.899  0.236

3.
This entry pairs a crystal structure of CeAl3Zn3 with its simulated powder X-ray diffraction pattern. Radiation: Cu Kα, 1.54184 Å. Structure: a cell relaxed with GGA-PBE.

Main lines, low angle first (10 to 90 degrees two-theta):
12.99 deg, I = 41; 21.29 deg, I = 100; 26.15 deg, I = 75; 30.29 deg, I = 47; 33.96 deg, I = 46; 46.14 deg, I = 94; 48.79 deg, I = 60; 67.31 deg, I = 24; 73.54 deg, I = 21; 83.52 deg, I = 15

Structure:
a b c (Å): 8.347 8.347 8.347
angles (deg): 60.00 60.00 60.00
Fractional coordinates of all 14 atoms:
Ce  0.250  0.250  0.250
Ce  0.750  0.750  0.750
Al  0.156  0.156  0.844
Al  0.156  0.844  0.156
Al  0.156  0.844  0.844
Al  0.844  0.156  0.156
Al  0.844  0.156  0.844
Al  0.844  0.844  0.156
Zn  0.350  0.350  0.650
Zn  0.350  0.650  0.350
Zn  0.350  0.650  0.650
Zn  0.650  0.350  0.350
Zn  0.650  0.350  0.650
Zn  0.650  0.650  0.350

4.
This entry pairs a crystal structure of Mn2Fe13 with its simulated powder X-ray diffraction pattern. Radiation: Cu Kα, 1.54184 Å. Structure: a cell relaxed with GGA-PBE.

Main lines, low angle first (10 to 90 degrees two-theta):
42.17 deg, I = 30; 42.90 deg, I = 33; 43.33 deg, I = 45; 44.00 deg, I = 28; 44.56 deg, I = 100; 44.83 deg, I = 37; 47.92 deg, I = 18; 60.54 deg, I = 9; 64.64 deg, I = 8; 65.46 deg, I = 8

Structure:
a b c (Å): 5.019 6.326 6.506
angles (deg): 61.89 76.02 79.92
Fractional coordinates of all 15 atoms:
Mn  0.168  0.461  0.329
Mn  0.832  0.539  0.671
Fe  0.000  0.000  0.500
Fe  0.063  0.710  0.931
Fe  0.196  0.113  0.790
Fe  0.300  0.527  0.628
Fe  0.305  0.884  0.217
Fe  0.427  0.320  0.005
Fe  0.480  0.824  0.627
Fe  0.520  0.176  0.373
Fe  0.573  0.680  0.995
Fe  0.695  0.116  0.783
Fe  0.700  0.473  0.372
Fe  0.804  0.887  0.210
Fe  0.937  0.290  0.069

5.
This entry pairs a crystal structure of Cs4NdCl6 with its simulated powder X-ray diffraction pattern. Radiation: Cu Kα, 1.54184 Å. Structure: a cell relaxed with GGA-PBE.

Main lines, low angle first (10 to 90 degrees two-theta):
12.71 deg, I = 48; 20.32 deg, I = 42; 25.58 deg, I = 37; 27.18 deg, I = 100; 28.88 deg, I = 55; 36.18 deg, I = 21; 37.96 deg, I = 23; 42.25 deg, I = 26; 43.30 deg, I = 23; 46.94 deg, I = 23

Structure:
a b c (Å): 9.773 9.773 9.931
angles (deg): 90.00 90.00 90.00
Fractional coordinates of all 22 atoms:
Cs  0.177  0.323  0.250
Cs  0.177  0.323  0.750
Cs  0.323  0.823  0.250
Cs  0.323  0.823  0.750
Cs  0.677  0.177  0.250
Cs  0.677  0.177  0.750
Cs  0.823  0.677  0.250
Cs  0.823  0.677  0.750
Nd  0.000  0.000  0.000
Nd  0.500  0.500  0.500
Cl  0.000  0.000  0.280
Cl  0.000  0.000  0.720
Cl  0.085  0.717  0.000
Cl  0.217  0.585  0.500
Cl  0.283  0.085  0.000
Cl  0.415  0.217  0.500
Cl  0.500  0.500  0.220
Cl  0.500  0.500  0.780
Cl  0.585  0.783  0.500
Cl  0.717  0.915  0.000
Cl  0.783  0.415  0.500
Cl  0.915  0.283  0.000

6.
This entry pairs a crystal structure of Co4Rh3 with its simulated powder X-ray diffraction pattern. Radiation: Cu Kα, 1.54184 Å. Structure: a cell relaxed with GGA-PBE.

Main lines, low angle first (10 to 90 degrees two-theta):
14.23 deg, I = 6; 35.54 deg, I = 8; 36.09 deg, I = 4; 42.53 deg, I = 100; 48.55 deg, I = 34; 51.40 deg, I = 13; 61.96 deg, I = 3; 71.10 deg, I = 10; 73.39 deg, I = 17; 86.51 deg, I = 24

Structure:
a b c (Å): 12.585 12.585 12.585
angles (deg): 167.90 167.90 17.14
Fractional coordinates of all 7 atoms:
Co  0.073  0.073  0.000
Co  0.363  0.363  0.000
Co  0.637  0.637  0.000
Co  0.927  0.927  0.000
Rh  0.211  0.211  0.000
Rh  0.500  0.500  0.000
Rh  0.789  0.789  0.000

7.
This entry pairs a crystal structure of LaAlTcGe2 with its simulated powder X-ray diffraction pattern. Radiation: Cu Kα, 1.54184 Å. Structure: a cell relaxed with GGA-PBE.

Main lines, low angle first (10 to 90 degrees two-theta):
18.20 deg, I = 100; 30.96 deg, I = 56; 33.86 deg, I = 42; 36.89 deg, I = 66; 38.71 deg, I = 30; 41.43 deg, I = 24; 50.94 deg, I = 52; 53.16 deg, I = 23; 54.54 deg, I = 22; 64.53 deg, I = 25

Structure:
a b c (Å): 4.873 4.873 5.294
angles (deg): 90.00 90.00 90.00
Fractional coordinates of all 5 atoms:
La  0.000  0.000  0.000
Al  0.500  0.500  0.000
Tc  0.000  0.000  0.500
Ge  0.000  0.500  0.500
Ge  0.500  0.000  0.500

8.
This entry pairs a crystal structure of TbCu12Pt6 with its simulated powder X-ray diffraction pattern. Radiation: Cu Kα, 1.54184 Å. Structure: a cell relaxed with GGA-PBE.

Main lines, low angle first (10 to 90 degrees two-theta):
27.08 deg, I = 100; 28.13 deg, I = 53; 32.66 deg, I = 31; 32.87 deg, I = 34; 35.48 deg, I = 34; 42.76 deg, I = 95; 43.09 deg, I = 97; 46.55 deg, I = 73; 47.02 deg, I = 65; 53.01 deg, I = 37

Structure:
a b c (Å): 6.910 6.910 6.910
angles (deg): 104.10 104.10 104.10
Fractional coordinates of all 19 atoms:
Tb  0.000  0.000  0.000
Cu  0.107  0.500  0.893
Cu  0.107  0.893  0.500
Cu  0.112  0.364  0.364
Cu  0.364  0.112  0.364
Cu  0.364  0.364  0.112
Cu  0.500  0.107  0.893
Cu  0.500  0.893  0.107
Cu  0.636  0.636  0.888
Cu  0.636  0.888  0.636
Cu  0.888  0.636  0.636
Cu  0.893  0.107  0.500
Cu  0.893  0.500  0.107
Pt  0.293  0.293  0.697
Pt  0.293  0.697  0.293
Pt  0.303  0.707  0.707
Pt  0.697  0.293  0.293
Pt  0.707  0.303  0.707
Pt  0.707  0.707  0.303

9.
This entry pairs a crystal structure of PuNbTcGe2 with its simulated powder X-ray diffraction pattern. Radiation: Cu Kα, 1.54184 Å. Structure: a cell relaxed with GGA-PBE.

Main lines, low angle first (10 to 90 degrees two-theta):
23.48 deg, I = 16; 30.22 deg, I = 15; 31.87 deg, I = 53; 35.17 deg, I = 100; 44.49 deg, I = 35; 45.34 deg, I = 38; 56.49 deg, I = 22; 56.93 deg, I = 13; 65.40 deg, I = 23; 77.10 deg, I = 21

Structure:
a b c (Å): 6.556 6.556 6.556
angles (deg): 144.47 144.47 51.12
Fractional coordinates of all 5 atoms:
Pu  0.000  0.000  0.000
Nb  0.250  0.750  0.500
Tc  0.750  0.250  0.500
Ge  0.393  0.393  0.000
Ge  0.607  0.607  0.000

10.
This entry pairs a crystal structure of CsK6Rb7 with its simulated powder X-ray diffraction pattern. Radiation: Cu Kα, 1.54184 Å. Structure: a cell relaxed with GGA-PBE.

Main lines, low angle first (10 to 90 degrees two-theta):
20.68 deg, I = 67; 21.49 deg, I = 48; 21.76 deg, I = 53; 22.16 deg, I = 100; 23.55 deg, I = 24; 26.72 deg, I = 22; 27.51 deg, I = 39; 27.76 deg, I = 23; 33.23 deg, I = 44; 46.09 deg, I = 25

Structure:
a b c (Å): 17.171 17.171 17.171
angles (deg): 146.54 73.76 116.44
Fractional coordinates of all 28 atoms:
Cs  0.250  0.250  0.000
Cs  0.750  0.750  0.000
K  0.096  0.701  0.797
K  0.107  0.509  0.120
K  0.110  0.991  0.598
K  0.390  0.988  0.880
K  0.393  0.512  0.402
K  0.404  0.201  0.605
K  0.596  0.799  0.395
K  0.607  0.488  0.598
K  0.610  0.012  0.120
K  0.890  0.009  0.402
K  0.893  0.491  0.880
K  0.904  0.299  0.203
Rb  0.085  0.210  0.295
Rb  0.130  0.876  0.237
Rb  0.138  0.376  0.745
Rb  0.250  0.750  0.500
Rb  0.362  0.107  0.237
Rb  0.370  0.607  0.745
Rb  0.415  0.710  0.125
Rb  0.585  0.290  0.875
Rb  0.630  0.393  0.255
Rb  0.638  0.893  0.763
Rb  0.750  0.250  0.500
Rb  0.862  0.624  0.255
Rb  0.870  0.124  0.763
Rb  0.915  0.790  0.705

11.
This entry pairs a crystal structure of Pm12PrDy2 with its simulated powder X-ray diffraction pattern. Radiation: Cu Kα, 1.54184 Å. Structure: a cell relaxed with GGA-PBE.

Main lines, low angle first (10 to 90 degrees two-theta):
28.24 deg, I = 100; 29.32 deg, I = 76; 30.77 deg, I = 100; 31.20 deg, I = 70; 31.29 deg, I = 65; 31.51 deg, I = 64; 32.36 deg, I = 56; 32.52 deg, I = 63; 37.43 deg, I = 35; 55.10 deg, I = 35

Structure:
a b c (Å): 6.524 6.524 25.555
angles (deg): 90.00 90.00 90.38
Fractional coordinates of all 30 atoms:
Pm  0.066  0.934  0.885
Pm  0.068  0.568  0.118
Pm  0.082  0.582  0.438
Pm  0.082  0.918  0.562
Pm  0.250  0.250  0.217
Pm  0.250  0.250  0.338
Pm  0.250  0.250  0.662
Pm  0.250  0.250  0.783
Pm  0.418  0.582  0.562
Pm  0.418  0.918  0.438
Pm  0.432  0.932  0.118
Pm  0.434  0.566  0.885
Pm  0.566  0.434  0.115
Pm  0.568  0.068  0.882
Pm  0.582  0.082  0.562
Pm  0.582  0.418  0.438
Pm  0.750  0.750  0.217
Pm  0.750  0.750  0.338
Pm  0.750  0.750  0.662
Pm  0.750  0.750  0.783
Pm  0.918  0.082  0.438
Pm  0.918  0.418  0.562
Pm  0.932  0.432  0.882
Pm  0.934  0.066  0.115
Pr  0.250  0.750  0.001
Pr  0.750  0.250  0.999
Dy  0.250  0.750  0.274
Dy  0.250  0.750  0.726
Dy  0.750  0.250  0.274
Dy  0.750  0.250  0.726

12.
This entry pairs a crystal structure of HoGa9Rh2 with its simulated powder X-ray diffraction pattern. Radiation: Cu Kα, 1.54184 Å. Structure: a cell relaxed with GGA-PBE.

Main lines, low angle first (10 to 90 degrees two-theta):
31.62 deg, I = 42; 32.12 deg, I = 54; 35.64 deg, I = 51; 36.26 deg, I = 52; 37.09 deg, I = 100; 37.32 deg, I = 92; 41.69 deg, I = 50; 42.31 deg, I = 33; 42.70 deg, I = 50; 45.48 deg, I = 27

Structure:
a b c (Å): 11.175 8.643 8.492
angles (deg): 81.40 49.89 48.71
Fractional coordinates of all 24 atoms:
Ho  0.125  0.125  0.125
Ho  0.875  0.875  0.875
Ga  0.050  0.767  0.390
Ga  0.052  0.391  0.771
Ga  0.229  0.715  0.948
Ga  0.233  0.950  0.708
Ga  0.285  0.771  0.391
Ga  0.292  0.390  0.767
Ga  0.375  0.375  0.375
Ga  0.390  0.292  0.050
Ga  0.391  0.052  0.285
Ga  0.609  0.948  0.715
Ga  0.610  0.708  0.950
Ga  0.625  0.625  0.625
Ga  0.708  0.610  0.233
Ga  0.715  0.229  0.609
Ga  0.767  0.050  0.292
Ga  0.771  0.285  0.052
Ga  0.948  0.609  0.229
Ga  0.950  0.233  0.610
Rh  0.000  0.500  0.500
Rh  0.500  0.000  0.500
Rh  0.500  0.500  0.000
Rh  0.500  0.500  0.500